The following is a calculated X-ray diffraction stick pattern of AcTb2Co6. It was derived from DFT lattice parameters and positions (PBE), using Cu Kα.
Peak positions follow from Bragg's law for the DFT cell and can differ from measured ones.

Top 10 peaks for 2θ from 15° to 90°, low angle first:
(1 1 0), 2θ 26.34, intensity 22.1
(1 1 1), 2θ 34.07, intensity 100.0
(0 0 2), 2θ 43.23, intensity 13.5
(3 0 0), 2θ 46.48, intensity 32.8
(1 1 2), 2θ 51.33, intensity 7.7
(2 2 1), 2θ 58.88, intensity 20.4
(3 0 2), 2θ 65.34, intensity 23.0
(1 1 3), 2θ 73.41, intensity 10.5
(4 1 1), 2θ 78.15, intensity 17.7
(3 3 0), 2θ 86.24, intensity 5.4

Cell lengths 6.767, 6.767, 4.186 Å; angles 90.00, 90.00, 120.00 degrees
Atoms (fractional coordinates):
1 Ac 0.000 0.000 0.000
2 Tb 0.333 0.667 0.000
3 Tb 0.667 0.333 0.000
4 Co 0.000 0.337 0.500
5 Co 0.000 0.663 0.500
6 Co 0.337 0.000 0.500
7 Co 0.337 0.337 0.500
8 Co 0.663 0.000 0.500
9 Co 0.663 0.663 0.500